Starting from a crystal structure in the Materials Project, relaxed with PBE, the XRD peak list of Te4Mo3WS4 was simulated for a wavelength of 1.5418 Å.

Main lines, most intense first (2θ from 10° to 90°):
| Position (°2θ) | I/Imax | h k l |
| --- | --- | --- |
| 11.12 | 100 | 0 0 5 |
| 35.72 | 78 | 1 0 8 |
| 30.73 | 52 | 1 0 0 |
| 42.86 | 51 | 0 1 13 |
| 54.58 | 36 | 1 1 0 |
| 36.96 | 25 | 1 0 9 |
| 34.60 | 21 | 0 1 7 |
| 44.54 | 17 | 1 0 14 |

Structural model:
a b c (Å): 3.3636 3.3636 39.7860
angles (deg): 90.00 90.00 120.00
Space group P3m1 (No. 156)
Asymmetric unit:
Te  0.0000  0.0000  0.0000
Te  0.0000  0.0000  0.0949
Te  0.3333  0.6667  0.1904
Te  0.3333  0.6667  0.2859
Mo  0.0000  0.0000  0.8609
Mo  0.3333  0.6667  0.0474
Mo  0.3333  0.6667  0.4245
W  0.0000  0.0000  0.2382
S  0.0000  0.0000  0.3865
S  0.0000  0.0000  0.4625
S  0.3333  0.6667  0.8229
S  0.3333  0.6667  0.8989

***

Starting from a crystal structure in the Materials Project, relaxed with PBE, the XRD peak list of TeMoWS3 was simulated for a wavelength of 1.5418 Å.

Main lines, most intense first (2θ from 10° to 90°):
| Position (°2θ) | I/Imax | h k l |
| --- | --- | --- |
| 11.33 | 100 | 0 0 5 |
| 36.67 | 58 | 1 0 8 |
| 31.61 | 40 | 1 0 0 |
| 43.92 | 35 | 0 1 13 |
| 56.24 | 19 | 1 1 0 |
| 15.88 | 16 | 0 0 7 |
| 69.06 | 13 | 0 2 8 |
| 33.65 | 13 | 1 0 5 |

Structural model:
a b c (Å): 3.2716 3.2716 39.0585
angles (deg): 90.00 90.00 120.00
Space group P3m1 (No. 156)
Asymmetric unit:
Te  0.0000  0.0000  0.0000
Te  0.0000  0.0000  0.0987
Mo  0.0000  0.0000  0.8610
Mo  0.6667  0.3333  0.0494
W  0.0000  0.0000  0.2389
W  0.6667  0.3333  0.6739
S  0.0000  0.0000  0.6343
S  0.0000  0.0000  0.7134
S  0.6667  0.3333  0.1994
S  0.6667  0.3333  0.2785
S  0.6667  0.3333  0.8216
S  0.6667  0.3333  0.9005

***

Starting from a crystal structure in the Materials Project, relaxed with PBE, the XRD peak list of Te2Mo2WS4 was simulated for a wavelength of 1.5418 Å.

Main lines, most intense first (2θ from 10° to 90°):
| Position (°2θ) | I/Imax | h k l |
| --- | --- | --- |
| 11.58 | 100 | 0 0 4 |
| 37.58 | 65 | 1 0 7 |
| 36.00 | 57 | 1 0 6 |
| 55.66 | 35 | 1 1 0 |
| 45.51 | 32 | 1 0 11 |
| 31.25 | 29 | 1 0 0 |
| 43.32 | 26 | 1 0 10 |
| 31.39 | 19 | 1 0 1 |

Structural model:
a b c (Å): 3.3049 3.3049 30.5547
angles (deg): 90.00 90.00 120.00
Space group P-6m2 (No. 187)
Asymmetric unit:
Te  0.0000  0.0000  0.0631
Mo  0.0000  0.0000  0.2314
W  0.3333  0.6667  0.0000
S  0.3333  0.6667  0.1813
S  0.3333  0.6667  0.2814

***

Starting from a crystal structure in the Materials Project, relaxed with PBE, the XRD peak list of Te4Mo3WS4 was simulated for a wavelength of 1.5418 Å.

Main lines, most intense first (2θ from 10° to 90°):
| Position (°2θ) | I/Imax | h k l |
| --- | --- | --- |
| 36.10 | 100 | 1 0 8 |
| 11.55 | 91 | 0 0 5 |
| 30.72 | 53 | 1 0 0 |
| 43.71 | 47 | 0 1 13 |
| 54.60 | 33 | 1 1 0 |
| 38.85 | 20 | 0 1 10 |
| 40.38 | 18 | 1 0 11 |
| 67.21 | 16 | 0 2 8 |

Structural model:
a b c (Å): 3.3621 3.3621 38.3051
angles (deg): 90.00 90.00 120.00
Space group P3m1 (No. 156)
Asymmetric unit:
Te  0.0000  0.0000  0.0000
Te  0.0000  0.0000  0.0987
Te  0.0000  0.0000  0.3755
Te  0.0000  0.0000  0.4747
Mo  0.0000  0.0000  0.2372
Mo  0.0000  0.0000  0.8615
Mo  0.3333  0.6667  0.0494
W  0.3333  0.6667  0.4251
S  0.3333  0.6667  0.1977
S  0.3333  0.6667  0.2767
S  0.3333  0.6667  0.8220
S  0.3333  0.6667  0.9010